For Cs3Np2FeO9, the PBE+U geometry in Alexandria gives the computed powder diffraction line list in this record (Cu Kα, 1.54184 Å).

Largest 10 diffraction maxima, low angle first, 5° ≤ 2θ ≤ 70°:
- 2θ = 11.88°, I 35
- 2θ = 16.86°, I 73
- 2θ = 20.68°, I 115
- 2θ = 29.41°, I 1000
- 2θ = 38.26°, I 29
- 2θ = 42.08°, I 285
- 2θ = 47.34°, I 39
- 2θ = 52.16°, I 421
- 2θ = 61.02°, I 184
- 2θ = 69.17°, I 188

Cell and atoms:
```
data_Cs3Np2FeO9
_cell_length_a 6.0706
_cell_length_b 6.0706
_cell_length_c 7.4474
_cell_angle_alpha 90.00
_cell_angle_beta 90.00
_cell_angle_gamma 120.00
_space_group_name_H-M_alt 'P -3 m 1'
_space_group_IT_number 164
_space_group_name_Hall '-P 3 2"'
loop_
_atom_site_label
_atom_site_fract_x
_atom_site_fract_y
_atom_site_fract_z
_atom_site_occupancy
Cs1 0.0000 0.0000 0.0000 1
Cs2 0.3333 0.6667 0.6633 1
Np1 0.3333 0.6667 0.1762 1
Fe1 0.0000 0.0000 0.5000 1
O1 0.0000 0.5000 0.0000 1
O2 0.1701 0.3402 0.3303 1
```